# Ac2GeBr2
Theoretical powder X-ray diffraction pattern, copper Kα. Input: a crystal structure in Alexandria, relaxed with PBE.
Lines closer than 0.1° are merged.

a b c (Å): 8.015 4.626 10.671
angles (deg): 90.00 90.52 90.00
Positions (direct):
Ac (0.169, 0.000, 0.164)
Ac (0.331, 0.500, 0.836)
Ac (0.669, 0.500, 0.164)
Ac (0.831, 0.000, 0.836)
Ge (0.000, 0.500, 0.000)
Ge (0.500, 0.000, 0.000)
Br (0.163, 0.000, 0.667)
Br (0.337, 0.500, 0.333)
Br (0.663, 0.500, 0.667)
Br (0.837, 0.000, 0.333)

The 12 most intense peaks (2θ = 5–70°), in order of rising 2θ:
Position (°2θ)  I/Imax
8.3  72
16.6  16
22.2  27
23.7  17
23.8  20
27.7  60
27.9  100
38.9  59
40.5  36
40.8  20
48.5  24
48.7  13

# Ac3Ge2Br
Theoretical powder X-ray diffraction pattern, copper Kα. Input: a crystal structure in Alexandria, relaxed with PBE.
Lines closer than 0.1° are merged.

a b c (Å): 4.611 6.432 13.960
angles (deg): 90.00 90.00 90.00
Positions (direct):
Ac (0.000, 0.000, 0.000)
Ac (0.000, 0.000, 0.318)
Ac (0.000, 0.000, 0.682)
Ac (0.500, 0.500, 0.182)
Ac (0.500, 0.500, 0.500)
Ac (0.500, 0.500, 0.818)
Ge (0.000, 0.500, 0.340)
Ge (0.000, 0.500, 0.660)
Ge (0.500, 0.000, 0.160)
Ge (0.500, 0.000, 0.840)
Br (0.000, 0.500, 0.000)
Br (0.500, 0.000, 0.500)

The 12 most intense peaks (2θ = 5–70°), in order of rising 2θ:
Position (°2θ)  I/Imax
23.6  30
23.7  33
27.2  100
27.7  50
38.7  17
39.1  20
39.3  77
48.3  19
48.6  22
56.2  12
63.8  26
64.6  18

# Ac6GeIr2Br2
Theoretical powder X-ray diffraction pattern, copper Kα. Input: a crystal structure in Alexandria, relaxed with PBE.
Lines closer than 0.1° are merged.

a b c (Å): 7.744 7.744 8.121
angles (deg): 98.87 98.87 118.67
Positions (direct):
Ac (0.083, 0.429, 0.792)
Ac (0.212, 0.212, 0.205)
Ac (0.429, 0.083, 0.792)
Ac (0.571, 0.917, 0.208)
Ac (0.788, 0.788, 0.795)
Ac (0.917, 0.571, 0.208)
Ge (0.500, 0.500, 0.000)
Ir (0.169, 0.831, 0.000)
Ir (0.831, 0.169, 0.000)
Br (0.341, 0.659, 0.500)
Br (0.659, 0.341, 0.500)

The 12 most intense peaks (2θ = 5–70°), in order of rising 2θ:
Position (°2θ)  I/Imax
11.4  30
24.3  12
27.6  100
35.4  12
38.0  10
39.0  21
39.8  27
40.6  13
48.4  11
49.4  8
49.8  13
65.0  14

# LiAcGeBr
Theoretical powder X-ray diffraction pattern, copper Kα. Input: a crystal structure in Alexandria, relaxed with PBE.
Lines closer than 0.1° are merged.

a b c (Å): 15.215 15.215 15.215
angles (deg): 16.76 16.76 16.76
Positions (direct):
Li (0.185, 0.185, 0.185)
Li (0.815, 0.815, 0.815)
Ac (0.417, 0.417, 0.417)
Ac (0.583, 0.583, 0.583)
Ge (0.126, 0.126, 0.126)
Ge (0.874, 0.874, 0.874)
Br (0.293, 0.293, 0.293)
Br (0.707, 0.707, 0.707)

The 12 most intense peaks (2θ = 5–70°), in order of rising 2θ:
Position (°2θ)  I/Imax
11.8  91
23.2  33
24.5  25
27.0  100
30.6  21
32.0  30
34.9  24
40.7  47
41.4  30
42.5  26
49.5  19
65.2  23

# Ac6Ni2GeBr3
Theoretical powder X-ray diffraction pattern, copper Kα. Input: a crystal structure in Alexandria, relaxed with PBE.
Lines closer than 0.1° are merged.

a b c (Å): 10.370 10.370 9.610
angles (deg): 107.00 107.00 24.37
Positions (direct):
Ac (0.017, 0.017, 0.239)
Ac (0.321, 0.321, 0.449)
Ac (0.338, 0.338, 0.879)
Ac (0.662, 0.662, 0.121)
Ac (0.679, 0.679, 0.551)
Ac (0.983, 0.983, 0.761)
Ni (0.170, 0.170, 0.337)
Ni (0.830, 0.830, 0.663)
Ge (0.500, 0.500, 0.000)
Br (0.157, 0.157, 0.833)
Br (0.500, 0.500, 0.500)
Br (0.843, 0.843, 0.167)

The 12 most intense peaks (2θ = 5–70°), in order of rising 2θ:
Position (°2θ)  I/Imax
11.1  13
23.8  11
24.6  22
27.6  100
30.2  9
35.1  9
37.5  10
38.6  18
40.4  26
41.2  13
50.4  13
54.3  9

# Ac8GeRh3Br4
Theoretical powder X-ray diffraction pattern, copper Kα. Input: a crystal structure in Alexandria, relaxed with PBE.
Lines closer than 0.1° are merged.

a b c (Å): 9.633 9.633 9.633
angles (deg): 54.91 54.91 54.91
Positions (direct):
Ac (0.218, 0.739, 0.739)
Ac (0.233, 0.233, 0.233)
Ac (0.261, 0.261, 0.782)
Ac (0.261, 0.782, 0.261)
Ac (0.739, 0.218, 0.739)
Ac (0.739, 0.739, 0.218)
Ac (0.767, 0.767, 0.767)
Ac (0.782, 0.261, 0.261)
Ge (0.500, 0.500, 0.500)
Rh (0.000, 0.000, 0.500)
Rh (0.000, 0.500, 0.000)
Rh (0.500, 0.000, 0.000)
Br (0.000, 0.000, 0.000)
Br (0.000, 0.500, 0.500)
Br (0.500, 0.000, 0.500)
Br (0.500, 0.500, 0.000)

The 12 most intense peaks (2θ = 5–70°), in order of rising 2θ:
Position (°2θ)  I/Imax
10.8  21
24.3  24
27.4  100
29.5  12
34.7  17
37.6  27
40.6  40
47.2  13
49.7  19
53.3  12
54.3  8
66.1  16

# Ac4TlGeBr2
Theoretical powder X-ray diffraction pattern, copper Kα. Input: a crystal structure in Alexandria, relaxed with PBE.
Lines closer than 0.1° are merged.

a b c (Å): 7.846 4.703 8.330
angles (deg): 90.00 110.45 90.00
Positions (direct):
Ac (0.227, 0.000, 0.234)
Ac (0.235, 0.500, 0.758)
Ac (0.765, 0.500, 0.242)
Ac (0.773, 0.000, 0.766)
Tl (0.000, 0.000, 0.500)
Ge (0.000, 0.500, 0.000)
Br (0.500, 0.000, 0.000)
Br (0.500, 0.500, 0.500)

The 12 most intense peaks (2θ = 5–70°), in order of rising 2θ:
Position (°2θ)  I/Imax
23.2  16
26.9  50
27.1  100
37.6  42
38.3  21
39.1  18
39.4  35
46.5  11
47.4  22
55.9  13
61.8  10
62.6  10

# Ac4HBr2
Theoretical powder X-ray diffraction pattern, copper Kα. Input: a crystal structure in Alexandria, relaxed with PBE.
Lines closer than 0.1° are merged.

a b c (Å): 4.917 4.917 21.414
angles (deg): 90.00 90.00 90.00
Positions (direct):
Ac (0.000, 0.000, 0.149)
Ac (0.000, 0.000, 0.851)
Ac (0.000, 0.500, 0.000)
Ac (0.000, 0.500, 0.500)
Ac (0.500, 0.000, 0.000)
Ac (0.500, 0.000, 0.500)
Ac (0.500, 0.500, 0.351)
Ac (0.500, 0.500, 0.649)
H (0.000, 0.000, 0.000)
H (0.500, 0.500, 0.500)
Br (0.000, 0.000, 0.299)
Br (0.000, 0.000, 0.701)
Br (0.500, 0.500, 0.201)
Br (0.500, 0.500, 0.799)

The 12 most intense peaks (2θ = 5–70°), in order of rising 2θ:
Position (°2θ)  I/Imax
18.5  22
22.0  26
24.9  42
27.0  100
30.7  80
34.5  34
36.6  50
44.8  36
51.2  24
59.1  23
60.1  22
62.2  23

# AcHBr
Theoretical powder X-ray diffraction pattern, copper Kα. Input: a crystal structure in Alexandria, relaxed with PBE.
Lines closer than 0.1° are merged.

a b c (Å): 6.220 15.331 6.514
angles (deg): 90.00 90.00 90.00
Positions (direct):
Ac (0.022, 0.107, 0.000)
Ac (0.101, 0.335, 0.459)
Ac (0.399, 0.835, 0.959)
Ac (0.478, 0.607, 0.500)
Ac (0.522, 0.393, 0.000)
Ac (0.601, 0.165, 0.459)
Ac (0.899, 0.665, 0.959)
Ac (0.978, 0.893, 0.500)
H (0.077, 0.795, 0.787)
H (0.166, 0.961, 0.795)
H (0.334, 0.461, 0.295)
H (0.423, 0.295, 0.287)
H (0.577, 0.705, 0.787)
H (0.666, 0.539, 0.795)
H (0.834, 0.039, 0.295)
H (0.923, 0.205, 0.287)
Br (0.033, 0.314, 0.954)
Br (0.163, 0.503, 0.761)
Br (0.337, 0.003, 0.261)
Br (0.467, 0.814, 0.454)
Br (0.533, 0.186, 0.954)
Br (0.663, 0.997, 0.761)
Br (0.837, 0.497, 0.261)
Br (0.967, 0.686, 0.454)

The 12 most intense peaks (2θ = 5–70°), in order of rising 2θ:
Position (°2θ)  I/Imax
22.1  15
22.9  100
26.4  20
27.4  39
28.7  15
29.3  18
32.6  37
36.2  25
40.1  18
40.6  28
43.0  21
45.8  15

# Ac8HRh3Br4
Theoretical powder X-ray diffraction pattern, copper Kα. Input: a crystal structure in Alexandria, relaxed with PBE.
Lines closer than 0.1° are merged.

a b c (Å): 8.601 8.601 9.677
angles (deg): 116.38 116.38 59.96
Positions (direct):
Ac (0.231, 0.231, 0.694)
Ac (0.231, 0.731, 0.694)
Ac (0.268, 0.268, 0.305)
Ac (0.269, 0.769, 0.306)
Ac (0.731, 0.231, 0.694)
Ac (0.732, 0.732, 0.695)
Ac (0.769, 0.269, 0.306)
Ac (0.769, 0.769, 0.306)
H (0.500, 0.500, 0.500)
Rh (0.000, 0.000, 0.500)
Rh (0.000, 0.500, 0.500)
Rh (0.500, 0.000, 0.500)
Br (0.000, 0.000, 0.000)
Br (0.000, 0.500, 0.000)
Br (0.500, 0.000, 0.000)
Br (0.500, 0.500, 0.000)

The 12 most intense peaks (2θ = 5–70°), in order of rising 2θ:
Position (°2θ)  I/Imax
10.7  21
25.0  29
27.9  100
30.0  16
32.3  11
34.9  18
37.6  27
42.0  40
46.9  14
51.2  13
54.0  16
68.3  11

# AcHoIrBr
Theoretical powder X-ray diffraction pattern, copper Kα. Input: a crystal structure in Alexandria, relaxed with PBE.
Lines closer than 0.1° are merged.

a b c (Å): 4.191 4.191 23.929
angles (deg): 90.00 90.00 120.00
Positions (direct):
Ac (0.000, 0.000, 0.000)
Ac (0.333, 0.667, 0.667)
Ac (0.667, 0.333, 0.333)
Ho (0.000, 0.000, 0.793)
Ho (0.333, 0.667, 0.460)
Ho (0.667, 0.333, 0.127)
Ir (0.000, 0.000, 0.403)
Ir (0.333, 0.667, 0.070)
Ir (0.667, 0.333, 0.736)
Br (0.000, 0.000, 0.220)
Br (0.333, 0.667, 0.887)
Br (0.667, 0.333, 0.554)

The 12 most intense peaks (2θ = 5–70°), in order of rising 2θ:
Position (°2θ)  I/Imax
11.1  53
25.7  23
28.8  14
30.9  100
36.1  11
39.0  11
43.2  43
44.7  11
45.4  32
54.0  21
55.9  7
64.5  15

# Ac8Pd3I4Br
Theoretical powder X-ray diffraction pattern, copper Kα. Input: a crystal structure in Alexandria, relaxed with PBE.
Lines closer than 0.1° are merged.

a b c (Å): 9.970 9.970 9.970
angles (deg): 53.54 53.54 53.54
Positions (direct):
Ac (0.219, 0.743, 0.743)
Ac (0.228, 0.228, 0.228)
Ac (0.257, 0.257, 0.781)
Ac (0.257, 0.781, 0.257)
Ac (0.743, 0.219, 0.743)
Ac (0.743, 0.743, 0.219)
Ac (0.772, 0.772, 0.772)
Ac (0.781, 0.257, 0.257)
Pd (0.000, 0.000, 0.500)
Pd (0.000, 0.500, 0.000)
Pd (0.500, 0.000, 0.000)
I (0.000, 0.000, 0.000)
I (0.000, 0.500, 0.500)
I (0.500, 0.000, 0.500)
I (0.500, 0.500, 0.000)
Br (0.500, 0.500, 0.500)

The 12 most intense peaks (2θ = 5–70°), in order of rising 2θ:
Position (°2θ)  I/Imax
10.4  9
23.9  13
26.8  100
28.9  13
33.7  10
36.4  31
40.2  38
45.5  9
49.0  19
51.9  12
55.3  9
65.1  16

# Ac8Ru3I3Br
Theoretical powder X-ray diffraction pattern, copper Kα. Input: a crystal structure in Alexandria, relaxed with PBE.
Lines closer than 0.1° are merged.

a b c (Å): 9.767 9.767 9.767
angles (deg): 54.87 54.87 54.87
Positions (direct):
Ac (0.198, 0.749, 0.749)
Ac (0.230, 0.230, 0.230)
Ac (0.251, 0.251, 0.802)
Ac (0.251, 0.802, 0.251)
Ac (0.749, 0.198, 0.749)
Ac (0.749, 0.749, 0.198)
Ac (0.770, 0.770, 0.770)
Ac (0.802, 0.251, 0.251)
Ru (0.000, 0.000, 0.500)
Ru (0.000, 0.500, 0.000)
Ru (0.500, 0.000, 0.000)
I (0.000, 0.500, 0.500)
I (0.500, 0.000, 0.500)
I (0.500, 0.500, 0.000)
Br (0.500, 0.500, 0.500)

The 12 most intense peaks (2θ = 5–70°), in order of rising 2θ:
Position (°2θ)  I/Imax
10.7  20
23.9  19
27.0  100
29.1  13
32.5  9
34.2  17
37.0  27
40.1  38
46.5  12
49.0  18
52.5  12
65.1  13